Starting from a cell relaxed with GGA-PBE, the powder XRD pattern of ThGeRu2C was computed for Cu Kα.

Largest 12 diffraction maxima, in order of rising 2θ, 10° ≤ 2θ ≤ 90°:
2θ = 29.05°, I 13; 2θ = 32.61°, I 30; 2θ = 34.06°, I 100; 2θ = 34.89°, I 44; 2θ = 40.26°, I 25; 2θ = 45.21°, I 20; 2θ = 49.98°, I 17; 2θ = 54.80°, I 8; 2θ = 57.76°, I 15; 2θ = 60.38°, I 14; 2θ = 61.95°, I 8; 2θ = 62.12°, I 14

Cell and atoms:
```
data_ThGeRu2C
_chemical_formula_sum 'Th2 Ge2 Ru4 C2'
_symmetry_space_group_name_H-M 'P 1'
_symmetry_Int_Tables_number 1
_cell_length_a 5.997
_cell_length_b 5.997
_cell_length_c 7.326
_cell_angle_alpha 90.00
_cell_angle_beta 90.00
_cell_angle_gamma 140.92
loop_
_symmetry_equiv_pos_as_xyz
'x,y,z'
loop_
_atom_site_label
_atom_site_fract_x
_atom_site_fract_y
_atom_site_fract_z
Th1 0.054 0.946 0.750
Th2 0.946 0.054 0.250
Ge1 0.228 0.772 0.250
Ge2 0.772 0.228 0.750
Ru1 0.338 0.662 0.556
Ru2 0.338 0.662 0.944
Ru3 0.662 0.338 0.056
Ru4 0.662 0.338 0.444
C1 0.500 0.500 0.000
C2 0.500 0.500 0.500
```


Starting from a cell relaxed with GGA-PBE, the powder XRD pattern of Ca7Ge6 was computed for Cu Kα.

Largest 12 diffraction maxima, in order of rising 2θ, 10° ≤ 2θ ≤ 90°:
2θ = 20.10°, I 88; 2θ = 29.74°, I 44; 2θ = 30.92°, I 70; 2θ = 32.11°, I 100; 2θ = 32.58°, I 82; 2θ = 33.21°, I 51; 2θ = 35.58°, I 47; 2θ = 35.99°, I 27; 2θ = 36.27°, I 29; 2θ = 38.00°, I 94; 2θ = 43.60°, I 33; 2θ = 56.05°, I 31

Cell and atoms:
```
data_Ca7Ge6
_chemical_formula_sum 'Ca28 Ge24'
_symmetry_space_group_name_H-M 'P 1'
_symmetry_Int_Tables_number 1
_cell_length_a 7.427
_cell_length_b 22.429
_cell_length_c 8.108
_cell_angle_alpha 90.00
_cell_angle_beta 90.00
_cell_angle_gamma 90.00
loop_
_symmetry_equiv_pos_as_xyz
'x,y,z'
loop_
_atom_site_label
_atom_site_fract_x
_atom_site_fract_y
_atom_site_fract_z
Ca1 0.016 0.163 0.179
Ca2 0.016 0.337 0.179
Ca3 0.148 0.643 0.318
Ca4 0.148 0.857 0.318
Ca5 0.165 0.519 0.678
Ca6 0.165 0.981 0.678
Ca7 0.185 0.250 0.517
Ca8 0.315 0.750 0.017
Ca9 0.335 0.019 0.178
Ca10 0.335 0.481 0.178
Ca11 0.352 0.143 0.818
Ca12 0.352 0.357 0.818
Ca13 0.484 0.663 0.679
Ca14 0.484 0.837 0.679
Ca15 0.516 0.163 0.321
Ca16 0.516 0.337 0.321
Ca17 0.648 0.643 0.182
Ca18 0.648 0.857 0.182
Ca19 0.665 0.519 0.822
Ca20 0.665 0.981 0.822
Ca21 0.685 0.250 0.983
Ca22 0.815 0.750 0.483
Ca23 0.835 0.019 0.322
Ca24 0.835 0.481 0.322
Ca25 0.852 0.143 0.682
Ca26 0.852 0.357 0.682
Ca27 0.984 0.663 0.821
Ca28 0.984 0.837 0.821
Ge1 0.003 0.555 0.043
Ge2 0.003 0.945 0.043
Ge3 0.075 0.250 0.876
Ge4 0.183 0.098 0.473
Ge5 0.183 0.402 0.473
Ge6 0.191 0.750 0.605
Ge7 0.309 0.250 0.105
Ge8 0.317 0.598 0.973
Ge9 0.317 0.902 0.973
Ge10 0.425 0.750 0.376
Ge11 0.497 0.055 0.543
Ge12 0.497 0.445 0.543
Ge13 0.503 0.555 0.457
Ge14 0.503 0.945 0.457
Ge15 0.575 0.250 0.624
Ge16 0.683 0.098 0.027
Ge17 0.683 0.402 0.027
Ge18 0.691 0.750 0.895
Ge19 0.809 0.250 0.395
Ge20 0.817 0.598 0.527
Ge21 0.817 0.902 0.527
Ge22 0.925 0.750 0.124
Ge23 0.997 0.055 0.957
Ge24 0.997 0.445 0.957
```